# 1
CsTbCuCl5: computed powder X-ray diffraction pattern (copper Kα), based on a DFT-relaxed cell (GGA-PBE, Alexandria).

Principal peaks in the range 2θ = 5–70°, in order of falling intensity:
- (1 1 -2), 19.22 deg, d 4.618, rel. 100
- (1 3 0), 24.45 deg, d 3.641, rel. 65
- (2 0 0), 21.18 deg, d 4.194, rel. 64
- (0 2 2), 24.07 deg, d 3.697, rel. 40
- (3 3 0), 39.18 deg, d 2.299, rel. 28
- (4 0 -4), 45.39 deg, d 1.998, rel. 27

Cell and atoms:
a = 9.123 Å, b = 12.123 Å, c = 10.145 Å
α = 90.00°, β = 113.14°, γ = 90.00°
Space group C2/c (No. 15)
Unique sites:
Cs  0.000  0.155  0.250
Tb  0.000  0.500  0.000
Cu  0.000  0.192  0.750
Cl  0.000  0.434  0.250
Cl  0.093  0.298  0.605
Cl  0.201  0.075  0.914


# 2
Cs2SO4: computed powder X-ray diffraction pattern (copper Kα), based on a DFT-relaxed cell (GGA-PBE, Alexandria).

Principal peaks in the range 2θ = 5–70°, in order of falling intensity:
- (1 1 -2), 26.81 deg, d 3.325, rel. 100
- (1 1 0), 19.93 deg, d 4.455, rel. 97
- (1 1 2), 30.59 deg, d 2.922, rel. 77
- (0 2 0), 28.58 deg, d 3.123, rel. 52
- (2 0 0), 28.08 deg, d 3.178, rel. 45
- (0 0 2), 20.52 deg, d 4.328, rel. 42

Cell and atoms:
a = 6.466 Å, b = 6.246 Å, c = 8.805 Å
α = 90.00°, β = 100.57°, γ = 90.00°
Space group P2_1/m (No. 11)
Unique sites:
Cs  0.224  0.250  0.021
Cs  0.272  0.250  0.527
S  0.212  0.750  0.771
O  0.079  0.555  0.731
O  0.296  0.750  0.942
O  0.391  0.750  0.684


# 3
AcCeRh: computed powder X-ray diffraction pattern (copper Kα), based on a DFT-relaxed cell (GGA-PBE, Alexandria).

Principal peaks in the range 2θ = 5–70°, in order of falling intensity:
- (1 1 -1), 30.54 deg, d 2.927, rel. 100
- (1 1 2), 37.10 deg, d 2.423, rel. 78
- (0 0 3), 30.69 deg, d 2.913, rel. 71
- (0 1 2), 28.81 deg, d 3.099, rel. 59
- (1 1 -2), 34.89 deg, d 2.572, rel. 57
- (0 2 0), 41.06 deg, d 2.198, rel. 52

Cell and atoms:
a = 4.216 Å, b = 4.396 Å, c = 8.773 Å
α = 90.00°, β = 95.07°, γ = 90.00°
Space group P2_1/m (No. 11)
Unique sites:
Ac  0.226  0.250  0.350
Ce  0.297  0.750  0.016
Rh  0.261  0.250  0.737


# 4
NdGa3Rh3: computed powder X-ray diffraction pattern (copper Kα), based on a DFT-relaxed cell (GGA-PBE, Alexandria).

Principal peaks in the range 2θ = 5–70°, in order of falling intensity:
- (3 1 0), 36.39 deg, d 2.469, rel. 100
- (3 2 1), 43.37 deg, d 2.086, rel. 80
- (3 2 0), 41.72 deg, d 2.165, rel. 39
- (4 1 3), 60.47 deg, d 1.531, rel. 24
- (3 1 1), 38.24 deg, d 2.354, rel. 23
- (2 2 0), 32.44 deg, d 2.760, rel. 21

Cell and atoms:
a = 7.807 Å, b = 7.807 Å, c = 7.807 Å
α = 90.00°, β = 90.00°, γ = 90.00°
Space group P2_13 (No. 198)
Unique sites:
Nd  0.062  0.438  0.562
Ga  0.004  0.807  0.582
Rh  0.116  0.616  0.884
Rh  0.171  0.171  0.171
Rh  0.210  0.790  0.290